# 1
Diffraction record for CsRbZrCu2Te4. The powder diffraction line list is calculated, not measured: it uses a crystal structure in OQMD, relaxed with GGA-PBE and Cu Kα X-rays.
Peak positions follow from Bragg's law for the DFT cell and can differ from measured ones.

Main lines, by angle (2θ = 10–90°):
11.63°, d = 7.610 Å, rel. 11
26.65°, d = 3.344 Å, rel. 100
28.38°, d = 3.145 Å, rel. 20
37.06°, d = 2.426 Å, rel. 11
40.57°, d = 2.224 Å, rel. 30
45.96°, d = 1.974 Å, rel. 18
49.17°, d = 1.853 Å, rel. 27
58.72°, d = 1.572 Å, rel. 10

Cell: 6.2884 6.2913 8.2196 Å, 90.00 112.21 90.00°
Positions (direct):
Cs  0.0000  0.0000  0.0000
Rb  0.5000  0.4994  0.0000
Zr  0.5000  0.7482  0.5000
Cu  0.0000  0.7496  0.5000
Cu  0.5000  0.2489  0.5000
Te  0.1432  0.4903  0.3021
Te  0.3404  0.0070  0.6987
Te  0.6596  0.0070  0.3013
Te  0.8568  0.4903  0.6979


# 2
Diffraction record for Zr3CuSi5. The powder diffraction line list is calculated, not measured: it uses a crystal structure in OQMD, relaxed with GGA-PBE and Cu Kα X-rays.
Peak positions follow from Bragg's law for the DFT cell and can differ from measured ones.

Main lines, by angle (2θ = 10–90°):
13.34°, d = 6.639 Å, rel. 76
22.20°, d = 4.004 Å, rel. 44
26.86°, d = 3.320 Å, rel. 43
33.74°, d = 2.656 Å, rel. 51
35.77°, d = 2.510 Å, rel. 61
38.34°, d = 2.348 Å, rel. 70
45.29°, d = 2.002 Å, rel. 100
67.67°, d = 1.385 Å, rel. 28

Cell: 5.7971 5.7971 6.6393 Å, 90.00 90.00 120.00°
Positions (direct):
Zr  0.0000  0.5000  0.0000
Zr  0.5000  0.0000  0.0000
Zr  0.5000  0.5000  0.0000
Cu  0.0000  0.0000  0.5000
Si  0.0000  0.0000  0.0000
Si  0.3333  0.6667  0.3305
Si  0.3333  0.6667  0.6695
Si  0.6667  0.3333  0.3305
Si  0.6667  0.3333  0.6695


# 3
Diffraction record for Ho3Mg3CdAgHg. The powder diffraction line list is calculated, not measured: it uses a crystal structure in OQMD, relaxed with GGA-PBE and Cu Kα X-rays.
Peak positions follow from Bragg's law for the DFT cell and can differ from measured ones.

Main lines, by angle (2θ = 10–90°):
13.16°, d = 6.728 Å, rel. 28
22.90°, d = 3.884 Å, rel. 44
31.45°, d = 2.844 Å, rel. 100
34.23°, d = 2.620 Å, rel. 98
40.21°, d = 2.243 Å, rel. 39
41.58°, d = 2.172 Å, rel. 33
43.33°, d = 2.088 Å, rel. 24
64.35°, d = 1.448 Å, rel. 27

Cell: 7.7686 7.7686 4.1766 Å, 90.00 90.00 120.00°
Positions (direct):
Ho  0.0770  0.3382  0.0000
Ho  0.2612  0.9230  0.0000
Ho  0.6618  0.7388  0.0000
Mg  0.4214  0.3328  0.5000
Mg  0.6672  0.0886  0.5000
Mg  0.9114  0.5786  0.5000
Cd  0.0000  0.0000  0.5000
Ag  0.6667  0.3333  0.0000
Hg  0.3333  0.6667  0.5000


# 4
Diffraction record for ErCuSnSe3. The powder diffraction line list is calculated, not measured: it uses a crystal structure in OQMD, relaxed with GGA-PBE and Cu Kα X-rays.
Peak positions follow from Bragg's law for the DFT cell and can differ from measured ones.

Main lines, by angle (2θ = 10–90°):
21.48°, d = 4.136 Å, rel. 33
29.90°, d = 2.989 Å, rel. 33
31.12°, d = 2.874 Å, rel. 79
34.21°, d = 2.621 Å, rel. 40
34.55°, d = 2.596 Å, rel. 100
43.89°, d = 2.063 Å, rel. 35
45.27°, d = 2.003 Å, rel. 38
64.85°, d = 1.438 Å, rel. 34

Cell: 7.0243 7.0243 10.4832 Å, 90.00 90.00 146.86°
Positions (direct):
Er  0.0000  0.0000  0.0000
Er  0.0000  0.0000  0.5000
Cu  0.4684  0.5316  0.7500
Cu  0.5316  0.4684  0.2500
Sn  0.2392  0.7608  0.2500
Sn  0.7608  0.2392  0.7500
Se  0.0815  0.9185  0.7500
Se  0.3575  0.6425  0.5641
Se  0.3575  0.6425  0.9359
Se  0.6425  0.3575  0.0641
Se  0.6425  0.3575  0.4359
Se  0.9185  0.0815  0.2500


# 5
Diffraction record for Li4ZnGe2Au. The powder diffraction line list is calculated, not measured: it uses a crystal structure in OQMD, relaxed with GGA-PBE and Cu Kα X-rays.
Peak positions follow from Bragg's law for the DFT cell and can differ from measured ones.

Main lines, by angle (2θ = 10–90°):
14.35°, d = 6.171 Å, rel. 14
20.32°, d = 4.371 Å, rel. 14
24.97°, d = 3.567 Å, rel. 100
41.34°, d = 2.184 Å, rel. 89
48.90°, d = 1.863 Å, rel. 49
65.91°, d = 1.417 Å, rel. 20
75.38°, d = 1.261 Å, rel. 30
80.82°, d = 1.189 Å, rel. 11

Cell: 4.3706 4.3706 6.1709 Å, 90.00 90.00 90.00°
Positions (direct):
Li  0.0000  0.0000  0.0000
Li  0.0000  0.5000  0.2455
Li  0.5000  0.0000  0.7545
Li  0.5000  0.5000  0.5000
Zn  0.0000  0.0000  0.5000
Ge  0.0000  0.5000  0.7440
Ge  0.5000  0.0000  0.2560
Au  0.5000  0.5000  0.0000


# 6
Diffraction record for NaHfTh. The powder diffraction line list is calculated, not measured: it uses a crystal structure in OQMD, relaxed with GGA-PBE and Cu Kα X-rays.
Peak positions follow from Bragg's law for the DFT cell and can differ from measured ones.

Main lines, by angle (2θ = 10–90°):
21.42°, d = 4.148 Å, rel. 41
27.02°, d = 3.300 Å, rel. 29
33.61°, d = 2.666 Å, rel. 100
34.51°, d = 2.599 Å, rel. 96
48.94°, d = 1.861 Å, rel. 37
60.10°, d = 1.539 Å, rel. 19
60.68°, d = 1.526 Å, rel. 39
69.40°, d = 1.354 Å, rel. 24

Cell: 5.3328 5.3328 9.4316 Å, 90.00 90.00 120.00°
Positions (direct):
Na  0.0000  0.0000  0.0000
Na  0.0000  0.0000  0.2883
Na  0.3333  0.6667  0.6336
Hf  0.6667  0.3333  0.1367
Hf  0.6667  0.3333  0.4705
Hf  0.6667  0.3333  0.8056
Th  0.0000  0.0000  0.6452
Th  0.3333  0.6667  0.3040
Th  0.3333  0.6667  0.9646


# 7
Diffraction record for AlHgBr4. The powder diffraction line list is calculated, not measured: it uses a crystal structure in OQMD, relaxed with GGA-PBE and Cu Kα X-rays.
Peak positions follow from Bragg's law for the DFT cell and can differ from measured ones.

Main lines, by angle (2θ = 10–90°):
14.85°, d = 5.967 Å, rel. 34
15.21°, d = 5.826 Å, rel. 38
15.91°, d = 5.571 Å, rel. 33
25.96°, d = 3.432 Å, rel. 100
26.15°, d = 3.408 Å, rel. 47
28.54°, d = 3.128 Å, rel. 60
28.65°, d = 3.115 Å, rel. 87
45.79°, d = 1.982 Å, rel. 44

Cell: 6.8588 6.9006 10.0350 Å, 76.49 83.84 60.45°
Positions (direct):
Al  0.1663  0.0847  0.2351
Al  0.8337  0.9153  0.7649
Hg  0.4867  0.4589  0.1357
Hg  0.5133  0.5411  0.8643
Br  0.1594  0.9274  0.6792
Br  0.1673  0.1692  0.0019
Br  0.1893  0.3571  0.3282
Br  0.4732  0.7292  0.3236
Br  0.5268  0.2708  0.6764
Br  0.8107  0.6429  0.6718
Br  0.8327  0.8308  0.9981
Br  0.8406  0.0726  0.3208


# 8
Diffraction record for NdTmCd2Ag4. The powder diffraction line list is calculated, not measured: it uses a crystal structure in OQMD, relaxed with GGA-PBE and Cu Kα X-rays.
Peak positions follow from Bragg's law for the DFT cell and can differ from measured ones.

Main lines, by angle (2θ = 10–90°):
21.87°, d = 4.065 Å, rel. 2
25.30°, d = 3.520 Å, rel. 1
36.08°, d = 2.489 Å, rel. 100
42.59°, d = 2.123 Å, rel. 1
51.95°, d = 1.760 Å, rel. 17
64.88°, d = 1.437 Å, rel. 34
76.55°, d = 1.245 Å, rel. 10
87.67°, d = 1.113 Å, rel. 15

Cell: 4.9781 4.9781 7.0405 Å, 90.00 90.00 90.00°
Positions (direct):
Nd  0.0000  0.0000  0.0000
Tm  0.5000  0.5000  0.5000
Cd  0.0000  0.0000  0.5000
Cd  0.5000  0.5000  0.0000
Ag  0.0000  0.5000  0.2633
Ag  0.0000  0.5000  0.7367
Ag  0.5000  0.0000  0.2633
Ag  0.5000  0.0000  0.7367


# 9
Diffraction record for Ac4AgAu3. The powder diffraction line list is calculated, not measured: it uses a crystal structure in OQMD, relaxed with GGA-PBE and Cu Kα X-rays.
Peak positions follow from Bragg's law for the DFT cell and can differ from measured ones.

Main lines, by angle (2θ = 10–90°):
28.80°, d = 3.100 Å, rel. 92
30.08°, d = 2.971 Å, rel. 29
31.03°, d = 2.882 Å, rel. 19
35.17°, d = 2.552 Å, rel. 18
36.02°, d = 2.493 Å, rel. 100
43.06°, d = 2.101 Å, rel. 19
47.63°, d = 1.909 Å, rel. 22
57.38°, d = 1.606 Å, rel. 16

Cell: 4.2015 4.9809 11.8854 Å, 90.00 90.00 90.00°
Positions (direct):
Ac  0.0000  0.0000  0.0000
Ac  0.0000  0.5000  0.2679
Ac  0.5000  0.0000  0.4941
Ac  0.5000  0.5000  0.7694
Ag  0.0000  0.0000  0.7136
Au  0.0000  0.5000  0.5493
Au  0.5000  0.0000  0.2201
Au  0.5000  0.5000  0.0460


# 10
Diffraction record for SmHo2In3Ni3. The powder diffraction line list is calculated, not measured: it uses a crystal structure in OQMD, relaxed with GGA-PBE and Cu Kα X-rays.
Peak positions follow from Bragg's law for the DFT cell and can differ from measured ones.

Main lines, by angle (2θ = 10–90°):
33.64°, d = 2.664 Å, rel. 100
36.48°, d = 2.463 Å, rel. 74
36.84°, d = 2.440 Å, rel. 54
41.99°, d = 2.152 Å, rel. 23
47.74°, d = 1.905 Å, rel. 20
56.79°, d = 1.621 Å, rel. 16
61.78°, d = 1.502 Å, rel. 23
67.88°, d = 1.381 Å, rel. 16

Cell: 3.8103 7.4491 7.4491 Å, 119.89 90.00 90.00°
Positions (direct):
Sm  0.0000  0.0000  0.0000
Ho  0.0000  0.1771  0.5879
Ho  0.0000  0.5879  0.1771
In  0.5000  0.3370  0.3370
In  0.5000  0.5849  0.8410
In  0.5000  0.8410  0.5849
Ni  0.0000  0.5866  0.5866
Ni  0.5000  0.2566  0.9203
Ni  0.5000  0.9203  0.2566